For Nd6SmSe8, a structure optimized by DFT (GGA-PBE) gives the calculated X-ray diffraction stick pattern in this record (Cu Ka).
Lines closer than 0.1° are merged.

Principal peaks in the range 2θ = 10–90°, by intensity:
2theta  Rel. int.  h k l
29.99  100  4 0 0
42.92  75  4 4 0
70.69  34  8 4 0
53.24  26  4 4 4
78.64  25  8 4 4
62.32  12  8 0 0
25.89  10  2 2 2
12.86  8  1 1 1
24.77  5  3 1 1
50.81  5  6 2 2
14.86  4  2 0 0
21.08  3  2 2 0

Crystal structure
```
data_Nd6SmSe8
_cell_length_a 11.9199
_cell_length_b 11.9199
_cell_length_c 11.9199
_cell_angle_alpha 90.00
_cell_angle_beta 90.00
_cell_angle_gamma 90.00
_symmetry_space_group_name_H-M 'F m -3 m'
_symmetry_Int_Tables_number 225
_symmetry_space_group_name_Hall '-F 4 2 3'
loop_
_atom_site_label
_atom_site_fract_x
_atom_site_fract_y
_atom_site_fract_z
Nd1 0.0000 0.2500 0.2500
Sm1 0.0000 0.0000 0.0000
Se1 0.0000 0.0000 0.2504
Se2 0.2500 0.2500 0.2500
```